(1)
The following is a calculated powder XRD pattern of KUCrO6. It was derived from a crystal structure in the Materials Project, relaxed with GGA+U, using CuKα.
Kinematic intensities with the Lorentz-polarization factor, no thermal factor.

Principal peaks in the range 2θ = 10–90°, most intense first:
two_theta  I/Imax  h k l
13.3  100  1 0 0
25.0  39  1 2 0
28.4  36  1 1 -3
28.2  30  0 1 3
26.8  21  2 0 0
21.1  17  0 2 0
28.7  16  1 2 -2
44.4  14  3 1 -3
45.9  12  1 3 3
20.5  12  1 1 1

Lattice parameters (Å, degrees): 6.851 8.417 10.548 90.00 103.69 90.00
Space group P2_1/c (No. 14)
One atom of each set of equivalent atoms:
K 0.037 0.236 0.351 [4 per cell]
U 0.486 0.021 0.177 [4 per cell]
Cr 0.383 0.643 0.947 [4 per cell]
O 0.147 0.634 0.943 [4 per cell]
O 0.215 0.063 0.127 [4 per cell]
O 0.243 0.020 0.767 [4 per cell]
O 0.418 0.709 0.787 [4 per cell]
O 0.454 0.063 0.395 [4 per cell]
O 0.470 0.657 0.508 [4 per cell]

(2)
The following is a calculated powder XRD pattern of KV2CrO7. It was derived from a crystal structure in the Materials Project, relaxed with GGA+U, using CuKα.
Kinematic intensities with the Lorentz-polarization factor, no thermal factor.

Principal peaks in the range 2θ = 10–90°, most intense first:
two_theta  I/Imax  h k l
10.8  100  1 0 0
31.9  55  1 1 -2
28.3  46  2 1 0
30.3  36  1 0 2
48.1  27  4 1 0
37.6  26  3 1 -1
57.1  16  0 1 4
41.2  14  1 2 1
65.0  10  2 3 -2
53.3  10  2 2 2

Lattice parameters (Å, degrees): 8.369 4.934 6.979 90.00 101.72 90.00
Space group P2/c (No. 13)
One atom of each set of equivalent atoms:
K 0.000 0.102 0.250 [2 per cell]
V 0.327 0.497 0.123 [4 per cell]
Cr 0.500 0.000 0.000 [2 per cell]
O 0.146 0.371 0.617 [4 per cell]
O 0.290 0.178 0.019 [4 per cell]
O 0.385 0.341 0.387 [4 per cell]
O 0.500 0.216 0.750 [2 per cell]

(3)
The following is a calculated powder XRD pattern of LiLa2Ti2CrO9. It was derived from a crystal structure in the Materials Project, relaxed with GGA+U, using CuKα.
Kinematic intensities with the Lorentz-polarization factor, no thermal factor.

Principal peaks in the range 2θ = 10–90°, most intense first:
two_theta  I/Imax  h k l
32.5  100  1 1 -6
46.6  49  0 0 12
11.3  31  0 0 3
25.5  29  1 1 3
32.2  25  0 2 0
32.7  23  2 0 0
58.2  23  3 1 6
57.6  17  1 3 6
68.0  16  2 2 12
39.8  13  0 2 6

Lattice parameters (Å, degrees): 5.476 5.555 23.414 90.00 90.02 90.00
Space group P2_1 (No. 4)
One atom of each set of equivalent atoms:
Li 0.241 0.000 0.168 [2 per cell]
Li 0.250 0.981 0.500 [2 per cell]
La 0.241 0.095 0.832 [2 per cell]
La 0.256 0.033 0.333 [2 per cell]
La 0.256 0.036 0.664 [2 per cell]
La 0.257 0.034 0.002 [2 per cell]
Ti 0.246 0.547 0.424 [2 per cell]
Ti 0.247 0.546 0.576 [2 per cell]
Ti 0.250 0.558 0.247 [2 per cell]
Ti 0.250 0.571 0.911 [2 per cell]
Cr 0.250 0.562 0.084 [2 per cell]
Cr 0.251 0.568 0.750 [2 per cell]
O 0.031 0.856 0.099 [2 per cell]
O 0.037 0.850 0.236 [2 per cell]
O 0.038 0.868 0.431 [2 per cell]
O 0.039 0.862 0.757 [2 per cell]
O 0.042 0.869 0.570 [2 per cell]
O 0.045 0.856 0.907 [2 per cell]
O 0.179 0.576 0.664 [2 per cell]
O 0.180 0.576 0.000 [2 per cell]
O 0.180 0.588 0.336 [2 per cell]
O 0.318 0.554 0.168 [2 per cell]
O 0.342 0.558 0.833 [2 per cell]
O 0.354 0.572 0.500 [2 per cell]
O 0.461 0.284 0.929 [2 per cell]
O 0.467 0.281 0.737 [2 per cell]
O 0.467 0.301 0.402 [2 per cell]
O 0.472 0.297 0.267 [2 per cell]
O 0.474 0.302 0.598 [2 per cell]
O 0.479 0.290 0.068 [2 per cell]

(4)
The following is a calculated powder XRD pattern of LiLa2TiCrO6. It was derived from a crystal structure in the Materials Project, relaxed with GGA+U, using CuKα.
Kinematic intensities with the Lorentz-polarization factor, no thermal factor.

Principal peaks in the range 2θ = 10–90°, most intense first:
two_theta  I/Imax  h k l
30.3  100  -1 1 1
21.7  85  1 1 1
27.5  84  1 0 1
29.0  83  1 1 -1
32.3  81  2 1 0
31.3  73  1 2 1
29.9  72  0 1 2
22.0  68  1 0 -1
19.6  66  0 1 0
39.9  39  0 2 0

Lattice parameters (Å, degrees): 5.557 5.741 6.031 64.38 88.97 63.44
Space group P1 (No. 1)
One atom of each set of equivalent atoms:
Li 0.000 0.000 0.000 [1 per cell]
La 0.230 0.548 0.510 [1 per cell]
La 0.671 0.628 0.943 [1 per cell]
Ti 0.881 0.191 0.533 [1 per cell]
Cr 0.405 0.156 0.102 [1 per cell]
O 0.104 0.076 0.281 [1 per cell]
O 0.255 0.093 0.821 [1 per cell]
O 0.535 0.312 0.298 [1 per cell]
O 0.638 0.296 0.825 [1 per cell]
O 0.807 0.603 0.343 [1 per cell]
O 0.999 0.778 0.774 [1 per cell]

(5)
The following is a calculated powder XRD pattern of LiLa3Ti3CrO12. It was derived from a crystal structure in the Materials Project, relaxed with GGA+U, using CuKα.
Kinematic intensities with the Lorentz-polarization factor, no thermal factor.

Principal peaks in the range 2θ = 10–90°, most intense first:
two_theta  I/Imax  h k l
32.3  100  1 1 -2
32.4  50  1 1 2
46.3  33  0 0 4
57.7  32  3 -1 2
19.6  21  0 1 -1
16.0  17  1 0 0
46.6  16  2 2 0
11.3  16  0 0 1
57.6  14  0 2 -4
39.8  13  0 2 -2

Lattice parameters (Å, degrees): 5.523 5.541 7.837 90.09 90.05 90.34
Space group P1 (No. 1)
One atom of each set of equivalent atoms:
Li 0.000 0.000 0.000 [1 per cell]
La 0.464 0.562 0.995 [1 per cell]
La 0.474 0.501 0.489 [1 per cell]
La 0.963 0.002 0.488 [1 per cell]
Ti 0.472 0.034 0.754 [1 per cell]
Ti 0.971 0.526 0.232 [1 per cell]
Ti 0.971 0.528 0.748 [1 per cell]
Cr 0.469 0.032 0.236 [1 per cell]
O 0.038 0.554 0.490 [1 per cell]
O 0.181 0.814 0.192 [1 per cell]
O 0.189 0.813 0.788 [1 per cell]
O 0.258 0.325 0.214 [1 per cell]
O 0.259 0.319 0.768 [1 per cell]
O 0.394 0.031 0.491 [1 per cell]
O 0.556 0.027 0.988 [1 per cell]
O 0.685 0.745 0.274 [1 per cell]
O 0.688 0.750 0.706 [1 per cell]
O 0.744 0.259 0.690 [1 per cell]
O 0.747 0.260 0.290 [1 per cell]
O 0.902 0.504 0.990 [1 per cell]

(6)
The following is a calculated powder XRD pattern of LaMgCrMoO6. It was derived from a crystal structure in the Materials Project, relaxed with GGA+U, using CuKα.
Kinematic intensities with the Lorentz-polarization factor, no thermal factor.

Principal peaks in the range 2θ = 10–90°, most intense first:
two_theta  I/Imax  h k l
32.2  100  1 1 2
32.1  52  1 0 -1
31.9  49  0 1 -1
32.5  47  1 2 1
33.0  34  2 1 1
56.8  32  0 1 3
19.9  30  1 1 1
46.7  29  2 2 0
46.4  28  2 0 2
19.5  28  0 1 0

Lattice parameters (Å, degrees): 5.428 5.516 5.560 60.93 60.99 61.04
Space group P1 (No. 1)
One atom of each set of equivalent atoms:
La 0.000 0.000 0.000 [1 per cell]
Mg 0.545 0.491 0.517 [1 per cell]
Cr 0.763 0.752 0.747 [1 per cell]
Mo 0.262 0.252 0.252 [1 per cell]
O 0.153 0.501 0.509 [1 per cell]
O 0.417 0.007 0.985 [1 per cell]
O 0.539 0.903 0.470 [1 per cell]
O 0.575 0.438 0.929 [1 per cell]
O 0.911 0.096 0.540 [1 per cell]
O 0.938 0.570 0.066 [1 per cell]